Calculated powder XRD pattern of Li4Mn3Cr3Te2O16 for Cu Kα X-rays, from a cell relaxed with GGA+U.
Lines closer than 0.1° are merged.

Main lines, low angle first (2θ from 5° to 70°):
(2 0 -1), d 4.690, 2θ 18.92, intensity 33
(1 1 -1), d 4.634, 2θ 19.15, intensity 65
(1 1 1), d 4.573, 2θ 19.41, intensity 100
(1 1 -3), d 2.790, 2θ 32.08, intensity 24
(1 1 3), d 2.752, 2θ 32.54, intensity 23
(3 1 -2), d 2.606, 2θ 34.41, intensity 48
(0 2 2), d 2.560, 2θ 35.05, intensity 41
(3 1 2), d 2.544, 2θ 35.29, intensity 30
(4 0 1), d 2.512, 2θ 35.74, intensity 25
(6 2 0), d 1.512, 2θ 61.32, intensity 30

Structure:
```
data_Li4Mn3Cr3Te2O16
_cell_length_a 10.503
_cell_length_b 6.007
_cell_length_c 9.817
_cell_angle_alpha 90.00
_cell_angle_beta 91.79
_cell_angle_gamma 90.00
_symmetry_space_group_name_H-M 'C 1 m 1'
_symmetry_Int_Tables_number 8
loop_
_symmetry_equiv_pos_as_xyz
'x,y,z'
'x,-y,z'
'x+1/2,y+1/2,z'
'x+1/2,-y+1/2,z'
loop_
_atom_site_label
_atom_site_fract_x
_atom_site_fract_y
_atom_site_fract_z
Li1 0.000 0.000 0.000
Li2 0.009 0.000 0.503
Li3 0.167 0.500 0.084
Li4 0.342 0.000 0.578
Mn1 0.086 0.257 0.776
Mn2 0.169 0.000 0.277
Cr1 0.331 0.500 0.773
Cr2 0.418 0.248 0.275
Te1 0.174 0.500 0.502
Te2 0.332 0.000 0.005
O1 0.002 0.000 0.692
O2 0.005 0.000 0.184
O3 0.027 0.500 0.638
O4 0.083 0.241 0.392
O5 0.169 0.000 0.901
O6 0.172 0.500 0.875
O7 0.256 0.279 0.640
O8 0.266 0.224 0.137
O9 0.334 0.000 0.372
O10 0.350 0.500 0.387
O11 0.411 0.245 0.903
O12 0.480 0.000 0.144
```